[1]
Calculated powder XRD pattern
Compound: CaCd9Pb2
Radiation: Cu Kα (λ = 1.5418 Å)
Structure: a structure optimized by DFT (GGA-PBE)

Structural model:
a b c (Å): 10.577 10.577 10.577
angles (deg): 32.54 32.54 32.54
Sites, in units of the cell vectors:
Ca (0.000, 0.000, 0.000)
Cd (0.080, 0.584, 0.584)
Cd (0.334, 0.334, 0.334)
Cd (0.416, 0.416, 0.920)
Cd (0.416, 0.920, 0.416)
Cd (0.500, 0.500, 0.500)
Cd (0.584, 0.080, 0.584)
Cd (0.584, 0.584, 0.080)
Cd (0.666, 0.666, 0.666)
Cd (0.920, 0.416, 0.416)
Pb (0.138, 0.138, 0.138)
Pb (0.862, 0.862, 0.862)

Largest 6 diffraction maxima, low angle first, 2θ from 5° to 70°:
| 2theta | I (rel.) |
| --- | --- |
| 30.16 | 367 |
| 35.10 | 349 |
| 35.20 | 1000 |
| 37.02 | 311 |
| 37.31 | 390 |
| 38.14 | 519 |



[2]
Calculated powder XRD pattern
Compound: CaCd9Pd2
Radiation: Cu Kα (λ = 1.5418 Å)
Structure: a structure optimized by DFT (GGA-PBE)

Structural model:
a b c (Å): 9.153 9.153 9.153
angles (deg): 99.97 99.97 130.81
Sites, in units of the cell vectors:
Ca (0.375, 0.625, 0.750)
Ca (0.625, 0.375, 0.250)
Cd (0.125, 0.875, 0.250)
Cd (0.131, 0.560, 0.329)
Cd (0.131, 0.802, 0.571)
Cd (0.198, 0.269, 0.329)
Cd (0.198, 0.869, 0.929)
Cd (0.269, 0.198, 0.829)
Cd (0.269, 0.440, 0.071)
Cd (0.440, 0.269, 0.571)
Cd (0.440, 0.869, 0.171)
Cd (0.560, 0.131, 0.829)
Cd (0.560, 0.731, 0.429)
Cd (0.731, 0.560, 0.929)
Cd (0.731, 0.802, 0.171)
Cd (0.802, 0.131, 0.071)
Cd (0.802, 0.731, 0.671)
Cd (0.869, 0.198, 0.429)
Cd (0.869, 0.440, 0.671)
Cd (0.875, 0.125, 0.750)
Pd (0.000, 0.000, 0.000)
Pd (0.000, 0.000, 0.500)
Pd (0.000, 0.500, 0.000)
Pd (0.500, 0.000, 0.500)

Largest 6 diffraction maxima, low angle first, 2θ from 5° to 70°:
| 2theta | I (rel.) |
| --- | --- |
| 13.85 | 274 |
| 33.67 | 556 |
| 34.07 | 409 |
| 39.39 | 333 |
| 40.09 | 1000 |
| 41.71 | 327 |



[3]
Calculated powder XRD pattern
Compound: Ca4CdPd5
Radiation: Cu Kα (λ = 1.5418 Å)
Structure: a structure optimized by DFT (GGA-PBE)

Structural model:
a b c (Å): 3.506 3.506 17.138
angles (deg): 90.00 90.00 90.00
Sites, in units of the cell vectors:
Ca (0.000, 0.000, 0.103)
Ca (0.000, 0.000, 0.309)
Ca (0.000, 0.000, 0.691)
Ca (0.000, 0.000, 0.897)
Cd (0.000, 0.000, 0.500)
Pd (0.500, 0.500, 0.000)
Pd (0.500, 0.500, 0.207)
Pd (0.500, 0.500, 0.415)
Pd (0.500, 0.500, 0.585)
Pd (0.500, 0.500, 0.793)

Largest 6 diffraction maxima, low angle first, 2θ from 5° to 70°:
| 2theta | I (rel.) |
| --- | --- |
| 5.16 | 294 |
| 25.40 | 135 |
| 36.23 | 550 |
| 36.67 | 1000 |
| 52.18 | 186 |
| 65.46 | 338 |



[4]
Calculated powder XRD pattern
Compound: Ca11Cd9Pd4
Radiation: Cu Kα (λ = 1.5418 Å)
Structure: a structure optimized by DFT (GGA-PBE)

Structural model:
a b c (Å): 13.231 13.231 3.887
angles (deg): 90.00 90.00 112.54
Sites, in units of the cell vectors:
Ca (0.000, 0.000, 0.000)
Ca (0.075, 0.413, 0.000)
Ca (0.165, 0.835, 0.000)
Ca (0.302, 0.302, 0.000)
Ca (0.370, 0.630, 0.000)
Ca (0.413, 0.075, 0.000)
Ca (0.587, 0.925, 0.000)
Ca (0.630, 0.370, 0.000)
Ca (0.698, 0.698, 0.000)
Ca (0.835, 0.165, 0.000)
Ca (0.925, 0.587, 0.000)
Cd (0.072, 0.217, 0.500)
Cd (0.159, 0.627, 0.500)
Cd (0.217, 0.072, 0.500)
Cd (0.373, 0.841, 0.500)
Cd (0.500, 0.500, 0.500)
Cd (0.627, 0.159, 0.500)
Cd (0.783, 0.928, 0.500)
Cd (0.841, 0.373, 0.500)
Cd (0.928, 0.783, 0.500)
Pd (0.253, 0.450, 0.500)
Pd (0.450, 0.253, 0.500)
Pd (0.550, 0.747, 0.500)
Pd (0.747, 0.550, 0.500)

Largest 6 diffraction maxima, low angle first, 2θ from 5° to 70°:
| 2theta | I (rel.) |
| --- | --- |
| 22.88 | 309 |
| 24.25 | 237 |
| 33.58 | 1000 |
| 34.56 | 488 |
| 46.75 | 168 |
| 59.42 | 181 |